[1]
# Ce4MgOs2
Calculated powder diffractogram, copper Kα. Input: a GGA-PBE-relaxed structure.
Lines closer than 0.1° are merged.

Crystal structure
a b c (Å): 6.651 7.164 8.442
angles (deg): 108.98 106.50 104.77
Atoms (fractional coordinates):
Ce 0.000 0.000 0.000
Ce 0.010 0.455 0.935
Ce 0.044 0.374 0.312
Ce 0.281 0.266 0.731
Ce 0.529 0.941 0.138
Ce 0.600 0.974 0.566
Ce 0.650 0.634 0.669
Ce 0.985 0.874 0.353
Mg 0.200 0.756 0.711
Mg 0.515 0.424 0.212
Os 0.379 0.199 0.409
Os 0.615 0.131 0.920
Os 0.695 0.599 0.016
Os 0.870 0.330 0.544

Main lines, in order of rising 2θ (2θ = 15–90°):
2θ 15.0, I 621; 2θ 24.4, I 809; 2θ 32.8, I 1000; 2θ 33.7, I 608; 2θ 35.1, I 377; 2θ 35.7, I 500; 2θ 37.2, I 443; 2θ 37.3, I 619; 2θ 38.5, I 395; 2θ 40.5, I 489; 2θ 40.6, I 372; 2θ 46.3, I 407


[2]
# Ba2Ti3Tl2Zn2O10
Calculated powder diffractogram, copper Kα. Input: a GGA-PBE-relaxed structure.
Lines closer than 0.1° are merged.

Crystal structure
a b c (Å): 3.827 3.882 20.574
angles (deg): 88.83 89.88 89.99
Atoms (fractional coordinates):
Ba 0.000 0.000 0.000
Ba 0.498 0.467 0.344
Ti 0.499 0.350 0.689
Ti 0.503 0.518 0.864
Ti 0.998 0.944 0.482
Tl 0.497 0.520 0.115
Tl 0.996 0.008 0.230
Zn 0.497 0.441 0.562
Zn 0.996 0.931 0.774
O 0.000 0.286 0.705
O 0.005 0.578 0.843
O 0.494 0.573 0.225
O 0.498 0.932 0.506
O 0.500 0.799 0.713
O 0.502 0.500 0.950
O 0.508 0.058 0.839
O 0.995 0.085 0.120
O 0.998 0.437 0.504
O 0.999 0.952 0.395

Main lines, in order of rising 2θ (2θ = 15–90°):
2θ 28.5, I 382; 2θ 29.1, I 1000; 2θ 31.4, I 186; 2θ 31.9, I 372; 2θ 32.0, I 178; 2θ 32.9, I 772; 2θ 33.1, I 182; 2θ 34.9, I 158; 2θ 39.4, I 163; 2θ 47.5, I 202; 2θ 51.8, I 183; 2θ 56.4, I 170


[3]
# Al2SiO5
Calculated powder diffractogram, copper Kα. Input: a GGA-PBE-relaxed structure.
Lines closer than 0.1° are merged.

Crystal structure
a b c (Å): 5.635 7.203 7.934
angles (deg): 73.99 89.90 78.87
Atoms (fractional coordinates):
Al 0.042 0.325 0.296
Al 0.140 0.900 0.386
Al 0.335 0.112 0.083
Al 0.450 0.703 0.699
Al 0.550 0.297 0.301
Al 0.665 0.888 0.917
Al 0.860 0.100 0.614
Al 0.958 0.675 0.704
Si 0.207 0.704 0.065
Si 0.311 0.291 0.668
Si 0.689 0.709 0.332
Si 0.793 0.296 0.935
O 0.034 0.290 0.053
O 0.072 0.281 0.555
O 0.139 0.878 0.630
O 0.168 0.891 0.153
O 0.255 0.501 0.724
O 0.256 0.498 0.230
O 0.318 0.123 0.314
O 0.372 0.110 0.854
O 0.435 0.718 0.935
O 0.455 0.726 0.455
O 0.545 0.274 0.545
O 0.565 0.282 0.065
O 0.628 0.890 0.146
O 0.682 0.877 0.686
O 0.744 0.502 0.770
O 0.745 0.499 0.276
O 0.832 0.109 0.847
O 0.861 0.122 0.370
O 0.928 0.719 0.445
O 0.966 0.710 0.947

Main lines, in order of rising 2θ (2θ = 15–90°):
2θ 20.4, I 224; 2θ 26.3, I 505; 2θ 27.7, I 1000; 2θ 32.8, I 394; 2θ 35.2, I 311; 2θ 37.7, I 383; 2θ 45.7, I 401; 2θ 46.4, I 407; 2θ 46.5, I 403; 2θ 66.4, I 284; 2θ 67.2, I 511; 2θ 67.3, I 503


[4]
# Ba2La3Ti2Nb2O15
Calculated powder diffractogram, copper Kα. Input: a GGA-PBE-relaxed structure.
Lines closer than 0.1° are merged.

Crystal structure
a b c (Å): 5.727 5.727 23.372
angles (deg): 90.00 90.00 120.00
Atoms (fractional coordinates):
Ba 0.333 0.667 0.037
Ba 0.333 0.667 0.537
Ba 0.667 0.333 0.463
Ba 0.667 0.333 0.963
La 0.000 0.000 0.250
La 0.000 0.000 0.750
La 0.333 0.667 0.355
La 0.333 0.667 0.855
La 0.667 0.333 0.145
La 0.667 0.333 0.645
Ti 0.333 0.667 0.204
Ti 0.333 0.667 0.704
Ti 0.667 0.333 0.296
Ti 0.667 0.333 0.796
Nb 0.000 0.000 0.099
Nb 0.000 0.000 0.401
Nb 0.000 0.000 0.599
Nb 0.000 0.000 0.901
O 0.000 0.436 0.250
O 0.000 0.564 0.750
O 0.095 0.326 0.659
O 0.095 0.769 0.159
O 0.128 0.339 0.438
O 0.128 0.789 0.938
O 0.211 0.339 0.938
O 0.211 0.872 0.438
O 0.231 0.326 0.159
O 0.231 0.905 0.659
O 0.326 0.095 0.841
O 0.326 0.231 0.341
O 0.339 0.128 0.062
O 0.339 0.211 0.562
O 0.436 0.000 0.250
O 0.436 0.436 0.750
O 0.564 0.000 0.750
O 0.564 0.564 0.250
O 0.661 0.789 0.438
O 0.661 0.872 0.938
O 0.674 0.769 0.659
O 0.674 0.905 0.159
O 0.769 0.095 0.341
O 0.769 0.674 0.841
O 0.789 0.128 0.562
O 0.789 0.661 0.062
O 0.872 0.211 0.062
O 0.872 0.661 0.562
O 0.905 0.231 0.841
O 0.905 0.674 0.341

Main lines, in order of rising 2θ (2θ = 15–90°):
2θ 19.4, I 120; 2θ 23.5, I 137; 2θ 29.2, I 1000; 2θ 31.2, I 857; 2θ 39.5, I 149; 2θ 43.3, I 480; 2θ 50.3, I 194; 2θ 54.3, I 363; 2θ 55.6, I 202; 2θ 65.2, I 152; 2θ 69.6, I 140; 2θ 72.9, I 146


[5]
# Ca2InSn4
Calculated powder diffractogram, copper Kα. Input: a GGA-PBE-relaxed structure.
Lines closer than 0.1° are merged.

Crystal structure
a b c (Å): 8.134 7.014 6.089
angles (deg): 76.39 56.93 46.68
Atoms (fractional coordinates):
Ca 0.148 0.148 0.852
Ca 0.852 0.852 0.148
In 0.500 0.500 0.500
Sn 0.000 0.000 0.500
Sn 0.250 0.250 0.250
Sn 0.500 0.500 0.000
Sn 0.750 0.750 0.750

Main lines, in order of rising 2θ (2θ = 15–90°):
2θ 17.1, I 402; 2θ 27.0, I 283; 2θ 28.5, I 436; 2θ 33.1, I 1000; 2θ 33.4, I 397; 2θ 34.5, I 447; 2θ 40.5, I 237; 2θ 44.2, I 556; 2θ 45.4, I 255; 2θ 54.2, I 206; 2θ 68.6, I 174; 2θ 69.4, I 326


[6]
# Nd3DyHo
Calculated powder diffractogram, copper Kα. Input: a GGA-PBE-relaxed structure.
Lines closer than 0.1° are merged.

Crystal structure
a b c (Å): 3.577 17.601 11.070
angles (deg): 90.00 90.00 90.00
Atoms (fractional coordinates):
Nd 0.249 0.076 0.056
Nd 0.249 0.076 0.444
Nd 0.249 0.424 0.556
Nd 0.249 0.424 0.944
Nd 0.251 0.750 0.000
Nd 0.251 0.750 0.500
Nd 0.749 0.250 0.000
Nd 0.749 0.250 0.500
Nd 0.751 0.576 0.056
Nd 0.751 0.576 0.444
Nd 0.751 0.924 0.556
Nd 0.751 0.924 0.944
Dy 0.252 0.601 0.750
Dy 0.252 0.899 0.250
Dy 0.748 0.101 0.750
Dy 0.748 0.399 0.250
Ho 0.249 0.225 0.250
Ho 0.249 0.275 0.750
Ho 0.751 0.725 0.250
Ho 0.751 0.775 0.750

Main lines, in order of rising 2θ (2θ = 15–90°):
2θ 26.2, I 209; 2θ 26.7, I 246; 2θ 30.5, I 310; 2θ 31.6, I 88; 2θ 31.6, I 241; 2θ 32.3, I 166; 2θ 33.5, I 1000; 2θ 48.6, I 133; 2θ 51.1, I 101; 2θ 56.1, I 118; 2θ 61.3, I 99; 2θ 84.8, I 93


[7]
# Tm3ZrIn4
Calculated powder diffractogram, copper Kα. Input: a GGA-PBE-relaxed structure.
Lines closer than 0.1° are merged.

Crystal structure
a b c (Å): 10.627 6.794 5.457
angles (deg): 90.00 90.00 90.00
Atoms (fractional coordinates):
Tm 0.000 0.000 0.000
Tm 0.250 0.000 0.396
Tm 0.250 0.500 0.383
Tm 0.500 0.000 0.000
Tm 0.750 0.000 0.604
Tm 0.750 0.500 0.617
Zr 0.000 0.500 0.000
Zr 0.500 0.500 0.000
In 0.000 0.256 0.500
In 0.000 0.744 0.500
In 0.250 0.256 0.885
In 0.250 0.744 0.885
In 0.500 0.256 0.500
In 0.500 0.744 0.500
In 0.750 0.256 0.115
In 0.750 0.744 0.115

Main lines, in order of rising 2θ (2θ = 15–90°):
2θ 32.2, I 204; 2θ 32.8, I 122; 2θ 33.7, I 374; 2θ 33.9, I 205; 2θ 35.4, I 1000; 2θ 40.3, I 110; 2θ 41.8, I 115; 2θ 54.0, I 96; 2θ 57.5, I 89; 2θ 61.4, I 197; 2θ 65.2, I 107; 2θ 68.3, I 103


[8]
# HfZr2Ir2
Calculated powder diffractogram, copper Kα. Input: a GGA-PBE-relaxed structure.
Lines closer than 0.1° are merged.

Crystal structure
a b c (Å): 9.646 6.536 6.535
angles (deg): 90.00 90.00 90.00
Atoms (fractional coordinates):
Hf 0.170 0.250 0.000
Hf 0.170 0.250 0.500
Hf 0.830 0.750 0.000
Hf 0.830 0.750 0.500
Zr 0.174 0.750 0.000
Zr 0.174 0.750 0.500
Zr 0.498 0.250 0.000
Zr 0.498 0.250 0.500
Zr 0.502 0.750 0.000
Zr 0.502 0.750 0.500
Zr 0.826 0.250 0.000
Zr 0.826 0.250 0.500
Ir 0.017 0.000 0.250
Ir 0.017 0.500 0.750
Ir 0.334 0.004 0.750
Ir 0.334 0.496 0.250
Ir 0.666 0.504 0.750
Ir 0.666 0.996 0.250
Ir 0.983 0.000 0.750
Ir 0.983 0.500 0.250

Main lines, in order of rising 2θ (2θ = 15–90°):
2θ 21.3, I 183; 2θ 26.7, I 217; 2θ 33.1, I 62; 2θ 39.0, I 528; 2θ 39.3, I 1000; 2θ 47.9, I 91; 2θ 51.3, I 68; 2θ 56.3, I 181; 2θ 57.3, I 76; 2θ 70.8, I 353; 2θ 71.5, I 160; 2θ 83.7, I 59